The following is a computed powder diffraction line list of ScGa40Mo8. It was derived from a cell relaxed with GGA-PBE, using λ = 1.5418 Å (Cu Kα).
Intensities are scaled so that the largest is 1000.

Cell and atoms:
```
49
Lattice="7.054 4.073 5.062 -7.054 4.073 5.062 0.000 -8.145 5.062" Properties=species:S:1:pos:R:3 pbc="T T T"
Sc 0.000 0.000 0.000
Ga -3.527 -2.036 5.062
Ga -1.278 -2.268 3.296
Ga -4.791 -3.895 8.373
Ga -2.675 -4.216 6.585
Ga -0.362 -4.400 4.987
Ga -5.768 2.201 6.814
Ga -3.630 2.513 4.987
Ga -1.325 2.240 3.296
Ga -4.989 0.209 8.602
Ga -1.706 0.142 5.124
Ga 0.978 -6.096 6.814
Ga -2.597 -1.301 7.675
Ga -3.992 -1.887 10.201
Ga 0.731 -1.548 5.124
Ga -0.171 -2.899 7.513
Ga -2.425 1.598 7.513
Ga 2.603 0.027 3.296
Ga -2.314 4.425 6.585
Ga 0.976 1.407 5.124
Ga -3.527 2.036 10.125
Ga 0.000 4.073 5.062
Ga 0.000 0.000 7.594
Ga -0.976 -1.407 10.063
Ga 2.314 -4.425 8.602
Ga -2.603 -0.027 11.891
Ga 2.425 -1.598 7.675
Ga 0.171 2.899 7.675
Ga -0.731 1.548 10.063
Ga 3.992 1.887 4.987
Ga 2.597 1.301 7.513
Ga -0.978 6.096 8.373
Ga 1.706 -0.142 10.063
Ga 4.989 -0.209 6.585
Ga 1.325 -2.240 11.891
Ga 3.630 -2.513 10.201
Ga 5.768 -2.201 8.373
Ga 0.362 4.400 10.201
Ga 2.675 4.216 8.602
Ga 4.791 3.895 6.814
Ga 1.278 2.268 11.891
Mo -4.194 0.169 6.122
Mo 0.000 0.000 3.084
Mo -2.244 -3.548 9.065
Mo 1.950 -3.717 6.122
Mo -1.950 3.717 9.065
Mo 2.244 3.548 6.122
Mo 0.000 0.000 12.103
Mo 4.194 -0.169 9.065
```

Largest 12 diffraction maxima, low angle first, 10° ≤ 2θ ≤ 90°:
| d [Å] | Position (°2θ) | Rel. int. |
| --- | --- | --- |
| 4.113 | 21.61 | 406 |
| 2.894 | 30.90 | 511 |
| 2.528 | 35.51 | 294 |
| 2.359 | 38.15 | 565 |
| 2.283 | 39.48 | 358 |
| 2.262 | 39.86 | 497 |
| 2.255 | 39.98 | 625 |
| 2.172 | 41.58 | 385 |
| 2.151 | 42.00 | 604 |
| 2.134 | 42.36 | 399 |
| 2.057 | 44.03 | 1000 |
| 2.036 | 44.49 | 722 |